Record 1
Diffraction record for Tb4TmBi5. The powder XRD pattern is computed, not measured: it uses the PBE geometry in Alexandria and Cu Kα (weighted mean of Kα1 and Kα2).
Intensities are scaled so that the largest is 100.

Peak list (11 most intense, 2θ from 10° to 90°, in order of rising 2θ)
2θ/deg	I_rel	(hkl)
24.3	3	2 1 1
28.2	100	1 3 0
40.3	78	4 2 0
47.6	2	2 1 3
49.9	28	4 2 2
58.3	13	0 0 4
64.1	1	5 0 3
66.0	37	2 6 2
73.2	28	7 1 2
78.5	1	2 1 5
87.0	9	2 6 4

a = 10.015 Å, b = 10.015 Å, c = 6.333 Å
α = 90.00°, β = 90.00°, γ = 90.00°
Space group I4/m (No. 87)
Inequivalent atoms, fractional coordinates:
Tb 0.099 0.300 0.000 [8 per cell]
Tm 0.000 0.000 0.500 [2 per cell]
Bi 0.000 0.000 0.000 [2 per cell]
Bi 0.100 0.298 0.500 [8 per cell]

Record 2
Diffraction record for Tb3TmBi4. The powder XRD pattern is computed, not measured: it uses the PBE geometry in Alexandria and Cu Kα (weighted mean of Kα1 and Kα2).
Intensities are scaled so that the largest is 100.

Peak list (11 most intense, 2θ from 10° to 90°, in order of rising 2θ)
2θ/deg	I_rel	(hkl)
24.4	3	1 1 1
28.2	100	2 0 0
40.3	78	2 2 0
47.7	2	3 1 1
50.0	28	2 2 2
58.4	13	4 0 0
64.2	1	3 3 1
66.1	37	4 2 0
73.3	28	4 2 2
78.6	1	5 1 1
87.2	9	4 4 0

a = 6.325 Å, b = 6.325 Å, c = 6.325 Å
α = 90.00°, β = 90.00°, γ = 90.00°
Space group Pm-3m (No. 221)
Inequivalent atoms, fractional coordinates:
Tb 0.000 0.000 0.500 [3 per cell]
Tm 0.500 0.500 0.500 [1 per cell]
Bi 0.000 0.000 0.000 [1 per cell]
Bi 0.000 0.500 0.500 [3 per cell]

Record 3
Diffraction record for TbTm3Bi. The powder XRD pattern is computed, not measured: it uses the PBE geometry in Alexandria and Cu Kα (weighted mean of Kα1 and Kα2).
Intensities are scaled so that the largest is 100.

Peak list (12 most intense, 2θ from 10° to 90°, in order of rising 2θ)
2θ/deg	I_rel	(hkl)
15.5	33	2 0 0
25.9	53	2 2 0
29.7	38	1 1 2
30.9	74	2 0 2
31.2	79	4 0 0
32.2	54	1 3 0
33.9	100	0 2 2
37.2	79	3 1 2
39.3	60	3 3 0
46.8	71	4 2 2
64.2	27	7 1 2
65.7	35	7 3 0

a = 11.462 Å, b = 8.595 Å, c = 6.703 Å
α = 90.00°, β = 90.00°, γ = 90.00°
Space group Ima2 (No. 46)
Inequivalent atoms, fractional coordinates:
Tb 0.250 0.243 0.000 [4 per cell]
Tm 0.030 0.710 0.500 [8 per cell]
Tm 0.250 0.573 0.754 [4 per cell]
Bi 0.250 0.567 0.235 [4 per cell]

Record 4
Diffraction record for TbVBi. The powder XRD pattern is computed, not measured: it uses the PBE geometry in Alexandria and Cu Kα (weighted mean of Kα1 and Kα2).
Intensities are scaled so that the largest is 100.

Peak list (12 most intense, 2θ from 10° to 90°, in order of rising 2θ)
2θ/deg	I_rel	(hkl)
17.7	39	0 0 2
24.7	37	0 1 2
28.2	60	0 1 -2
31.1	34	0 1 3
32.5	100	1 1 1
33.2	45	1 -1 1
34.1	49	1 0 -2
34.3	53	1 0 3
38.7	21	0 1 4
39.8	36	0 2 0
51.0	21	-1 2 2
67.3	18	1 -3 0

a = 3.462 Å, b = 4.568 Å, c = 10.263 Å
α = 82.66°, β = 80.56°, γ = 89.99°
Space group P-1 (No. 2)
Inequivalent atoms, fractional coordinates:
Tb 0.094 0.208 0.297 [2 per cell]
V 0.444 0.680 0.448 [2 per cell]
Bi 0.331 0.252 0.855 [2 per cell]

Record 5
Diffraction record for Tb5Y2Bi5. The powder XRD pattern is computed, not measured: it uses the PBE geometry in Alexandria and Cu Kα (weighted mean of Kα1 and Kα2).
Intensities are scaled so that the largest is 100.

Peak list (12 most intense, 2θ from 10° to 90°, in order of rising 2θ)
2θ/deg	I_rel	(hkl)
23.1	74	2 0 2
27.1	72	3 1 -1
28.0	61	3 1 0
28.2	80	3 1 -2
29.9	44	2 0 3
30.9	60	3 1 1
31.2	100	3 1 -3
34.8	56	1 1 -4
38.7	45	5 1 0
40.1	51	6 0 -4
40.5	66	0 2 0
58.4	40	6 2 -4

a = 14.657 Å, b = 4.453 Å, c = 12.805 Å
α = 90.00°, β = 111.45°, γ = 90.00°
Space group C2/m (No. 12)
Inequivalent atoms, fractional coordinates:
Tb 0.000 0.000 0.000 [2 per cell]
Tb 0.162 0.000 0.532 [4 per cell]
Tb 0.213 0.000 0.837 [4 per cell]
Y 0.049 0.500 0.287 [4 per cell]
Bi 0.000 0.500 0.500 [2 per cell]
Bi 0.120 0.500 0.936 [4 per cell]
Bi 0.197 0.000 0.284 [4 per cell]

Record 6
Diffraction record for Tb3YBi2. The powder XRD pattern is computed, not measured: it uses the PBE geometry in Alexandria and Cu Kα (weighted mean of Kα1 and Kα2).
Intensities are scaled so that the largest is 100.

Peak list (12 most intense, 2θ from 10° to 90°, in order of rising 2θ)
2θ/deg	I_rel	(hkl)
27.6	38	1 1 0
29.5	74	1 1 1
31.0	39	0 0 3
34.6	100	1 1 2
36.8	28	1 0 3
39.4	62	2 0 0
51.0	39	2 0 3
55.0	18	2 1 3
57.0	21	2 2 0
65.5	15	3 1 1
66.3	18	2 2 3
68.4	28	3 1 2

a = 4.571 Å, b = 4.571 Å, c = 8.663 Å
α = 90.00°, β = 90.00°, γ = 90.00°
Space group P-4m2 (No. 115)
Inequivalent atoms, fractional coordinates:
Tb 0.000 0.000 0.000 [1 per cell]
Tb 0.000 0.500 0.653 [2 per cell]
Y 0.500 0.500 0.000 [1 per cell]
Bi 0.000 0.500 0.283 [2 per cell]

Record 7
Diffraction record for Tb3ZrBi4. The powder XRD pattern is computed, not measured: it uses the PBE geometry in Alexandria and Cu Kα (weighted mean of Kα1 and Kα2).
Intensities are scaled so that the largest is 100.

Peak list (12 most intense, 2θ from 10° to 90°, in order of rising 2θ)
2θ/deg	I_rel	(hkl)
28.5	100	1 2 1
40.7	39	0 4 0
40.9	39	1 2 -3
50.5	21	2 4 -2
50.7	7	0 0 4
59.1	13	2 4 2
66.8	12	1 6 1
66.9	12	0 4 4
67.0	12	3 2 -5
74.1	9	1 6 -3
74.3	11	4 4 -4
74.5	7	2 0 -6

a = 7.665 Å, b = 8.869 Å, c = 7.644 Å
α = 90.00°, β = 109.54°, γ = 90.00°
Space group P2/c (No. 13)
Inequivalent atoms, fractional coordinates:
Tb 0.000 0.125 0.250 [2 per cell]
Tb 0.000 0.375 0.750 [2 per cell]
Tb 0.500 0.126 0.750 [2 per cell]
Zr 0.500 0.376 0.250 [2 per cell]
Bi 0.255 0.130 0.005 [4 per cell]
Bi 0.260 0.380 0.500 [4 per cell]

Record 8
Diffraction record for Tc2BiTe. The powder XRD pattern is computed, not measured: it uses the PBE geometry in Alexandria and Cu Kα (weighted mean of Kα1 and Kα2).
Intensities are scaled so that the largest is 100.

Peak list (12 most intense, 2θ from 10° to 90°, in order of rising 2θ)
2θ/deg	I_rel	(hkl)
23.0	5	1 1 1
26.7	7	2 0 0
38.1	100	2 2 0
45.0	3	3 1 1
47.1	2	2 2 2
54.9	17	4 0 0
60.4	1	3 3 1
62.1	3	4 2 0
68.8	35	4 2 2
81.4	11	4 4 0
86.0	1	5 3 1
87.6	2	6 0 0

a = 6.685 Å, b = 6.685 Å, c = 6.685 Å
α = 90.00°, β = 90.00°, γ = 90.00°
Space group Fm-3m (No. 225)
Inequivalent atoms, fractional coordinates:
Tc 0.250 0.250 0.250 [8 per cell]
Bi 0.000 0.000 0.000 [4 per cell]
Te 0.000 0.000 0.500 [4 per cell]

Record 9
Diffraction record for Th12Tc6Bi. The powder XRD pattern is computed, not measured: it uses the PBE geometry in Alexandria and Cu Kα (weighted mean of Kα1 and Kα2).
Intensities are scaled so that the largest is 100.

Peak list (12 most intense, 2θ from 10° to 90°, in order of rising 2θ)
2θ/deg	I_rel	(hkl)
27.7	37	3 0 1
30.4	27	2 2 2
32.9	100	3 1 2
35.2	12	4 0 0
45.4	19	5 0 1
52.4	28	5 3 0
54.0	16	6 0 0
55.6	38	5 2 3
64.7	17	5 4 3
78.6	9	6 5 3
79.9	16	6 6 0
81.3	17	7 0 5

a = 10.185 Å, b = 10.185 Å, c = 10.185 Å
α = 90.00°, β = 90.00°, γ = 90.00°
Space group Im-3 (No. 204)
Inequivalent atoms, fractional coordinates:
Th 0.000 0.307 0.186 [24 per cell]
Tc 0.000 0.141 0.500 [12 per cell]
Bi 0.000 0.000 0.000 [2 per cell]

Record 10
Diffraction record for Th8Tc3Bi2. The powder XRD pattern is computed, not measured: it uses the PBE geometry in Alexandria and Cu Kα (weighted mean of Kα1 and Kα2).
Intensities are scaled so that the largest is 100.

Peak list (12 most intense, 2θ from 10° to 90°, in order of rising 2θ)
2θ/deg	I_rel	(hkl)
21.7	10	0 4 0
25.5	22	2 0 1
27.7	9	2 2 1
32.8	8	0 6 0
33.7	100	2 4 1
35.7	25	4 0 0
36.9	23	0 0 2
42.0	14	2 6 1
52.3	17	4 0 2
62.6	10	2 10 1
62.9	17	6 4 1
64.4	16	2 4 3

a = 10.050 Å, b = 16.396 Å, c = 4.872 Å
α = 90.00°, β = 90.00°, γ = 90.00°
Space group Cmmm (No. 65)
Inequivalent atoms, fractional coordinates:
Th 0.000 0.102 0.000 [4 per cell]
Th 0.000 0.391 0.000 [4 per cell]
Th 0.249 0.394 0.500 [8 per cell]
Tc 0.000 0.500 0.500 [2 per cell]
Tc 0.246 0.500 0.000 [4 per cell]
Bi 0.000 0.246 0.500 [4 per cell]

Record 11
Diffraction record for Th7Tc2Bi2. The powder XRD pattern is computed, not measured: it uses the PBE geometry in Alexandria and Cu Kα (weighted mean of Kα1 and Kα2).
Intensities are scaled so that the largest is 100.

Peak list (12 most intense, 2θ from 10° to 90°, in order of rising 2θ)
2θ/deg	I_rel	(hkl)
27.5	26	1 3 0
28.5	14	0 5 1
29.2	40	1 1 2
31.6	64	0 3 3
32.5	100	0 6 0
33.0	54	1 3 2
35.2	15	1 0 3
36.9	14	1 2 3
45.3	24	2 0 0
48.4	13	1 7 2
56.3	26	2 3 3
56.9	14	2 6 0

a = 4.004 Å, b = 16.522 Å, c = 9.907 Å
α = 90.00°, β = 90.00°, γ = 90.00°
Space group Imm2 (No. 44)
Inequivalent atoms, fractional coordinates:
Th 0.000 0.000 0.000 [2 per cell]
Th 0.000 0.138 0.425 [4 per cell]
Th 0.000 0.320 0.627 [4 per cell]
Th 0.000 0.347 0.261 [4 per cell]
Tc 0.000 0.228 0.939 [4 per cell]
Bi 0.000 0.000 0.666 [2 per cell]
Bi 0.000 0.500 0.776 [2 per cell]